Y2GeMoAu: computed powder diffraction line list (λ = 1.5418 Å (Cu Kα)), based on DFT lattice parameters and positions (GGA-PBE).
No peak broadening, texture or thermal motion is included.

Crystal structure
```
data_Y2GeMoAu
_cell_length_a 5.3657
_cell_length_b 5.3657
_cell_length_c 4.6652
_cell_angle_alpha 90.00
_cell_angle_beta 90.00
_cell_angle_gamma 90.00
_symmetry_space_group_name_H-M 'P 4/m m m'
_symmetry_Int_Tables_number 123
_symmetry_space_group_name_Hall '-P 4 2'
loop_
_atom_site_label
_atom_site_fract_x
_atom_site_fract_y
_atom_site_fract_z
Y1 0.0000 0.5000 0.0000
Ge1 0.0000 0.0000 0.0000
Mo1 0.0000 0.0000 0.5000
Au1 0.5000 0.5000 0.5000
```

Principal peaks in the range 2θ = 10–90°, in order of rising 2θ:
2θ/deg, d (Å), I/Imax
23.45, 3.794, 21
25.30, 3.521, 29
30.37, 2.944, 100
33.40, 2.683, 73
38.60, 2.333, 25
42.36, 2.134, 16
47.95, 1.897, 26
51.95, 1.760, 42
57.82, 1.595, 32
63.17, 1.472, 23
64.79, 1.439, 11
79.96, 1.200, 12

***

Pa2GeAu2N2: computed powder diffraction line list (λ = 1.5418 Å (Cu Kα)), based on DFT lattice parameters and positions (GGA-PBE).
No peak broadening, texture or thermal motion is included.

Crystal structure
```
data_Pa2GeAu2N2
_cell_length_a 3.7900
_cell_length_b 3.7900
_cell_length_c 12.1081
_cell_angle_alpha 90.00
_cell_angle_beta 90.00
_cell_angle_gamma 120.00
_symmetry_space_group_name_H-M 'P -3 m 1'
_symmetry_Int_Tables_number 164
_symmetry_space_group_name_Hall '-P 3 2"'
loop_
_atom_site_label
_atom_site_fract_x
_atom_site_fract_y
_atom_site_fract_z
Pa1 0.3333 0.6667 0.2966
Ge1 0.0000 0.0000 0.5000
Au1 0.0000 0.0000 0.1133
N1 0.3333 0.6667 0.7027
```

Principal peaks in the range 2θ = 10–90°, in order of rising 2θ:
2θ/deg, d (Å), I/Imax
14.63, 6.054, 26
28.17, 3.168, 100
30.99, 2.885, 57
35.24, 2.546, 75
37.13, 2.422, 33
40.54, 2.225, 51
48.01, 1.895, 51
56.59, 1.626, 15
60.94, 1.520, 16
62.21, 1.492, 44
68.24, 1.374, 16
81.10, 1.186, 14